MoOsPbI2: calculated powder diffractogram (a wavelength of 1.5418 Å), based on a structure optimized by DFT (PBE).
No peak broadening, texture or thermal motion is included.

Atomic structure:
a b c (Å): 5.4611 5.4611 4.8208
angles (deg): 90.00 90.00 90.00
Space group P4/mmm (No. 123)
Symmetry-distinct sites (fractional):
1 Mo 0.0000 0.0000 0.0000 (multiplicity 1)
2 Os 0.0000 0.0000 0.5000 (multiplicity 1)
3 Pb 0.5000 0.5000 0.5000 (multiplicity 1)
4 I 0.0000 0.5000 0.0000 (multiplicity 2)

Peak list (10 most intense, 5° ≤ 2θ ≤ 70°, sorted by position)
- d = 3.862 Å, I = 17
- d = 3.014 Å, I = 100
- d = 2.731 Å, I = 71
- d = 2.410 Å, I = 25
- d = 1.931 Å, I = 26
- d = 1.807 Å, I = 42
- d = 1.626 Å, I = 33
- d = 1.507 Å, I = 23
- d = 1.484 Å, I = 12
- d = 1.365 Å, I = 8

***

Rb2MoPbI6: calculated powder diffractogram (a wavelength of 1.5418 Å), based on a structure optimized by DFT (PBE).
No peak broadening, texture or thermal motion is included.

Atomic structure:
a b c (Å): 8.6147 8.6147 12.2124
angles (deg): 90.00 90.00 90.00
Space group I4/mmm (No. 139)
Symmetry-distinct sites (fractional):
1 Rb 0.0000 0.5000 0.2500 (multiplicity 4)
2 Mo 0.0000 0.0000 0.0000 (multiplicity 2)
3 Pb 0.0000 0.0000 0.5000 (multiplicity 2)
4 I 0.0000 0.0000 0.2368 (multiplicity 4)
5 I 0.2364 0.2364 0.0000 (multiplicity 8)

Peak list (10 most intense, 5° ≤ 2θ ≤ 70°, sorted by position)
- d = 6.096 Å, I = 52
- d = 4.311 Å, I = 17
- d = 3.520 Å, I = 50
- d = 3.048 Å, I = 100
- d = 2.726 Å, I = 27
- d = 2.155 Å, I = 73
- d = 1.838 Å, I = 21
- d = 1.760 Å, I = 25
- d = 1.365 Å, I = 10
- d = 1.362 Å, I = 21

***

Pm4MoI5: calculated powder diffractogram (a wavelength of 1.5418 Å), based on a structure optimized by DFT (PBE).
No peak broadening, texture or thermal motion is included.

Atomic structure:
a b c (Å): 19.9955 4.1391 9.7124
angles (deg): 90.00 104.02 90.00
Space group C2/m (No. 12)
Symmetry-distinct sites (fractional):
1 Pm 0.0007 0.0000 0.2254 (multiplicity 4)
2 Pm 0.1363 0.5000 0.0699 (multiplicity 4)
3 Mo 0.0000 0.5000 0.0000 (multiplicity 2)
4 I 0.0000 0.5000 0.5000 (multiplicity 2)
5 I 0.1667 0.0000 0.3281 (multiplicity 4)
6 I 0.1689 0.0000 0.8406 (multiplicity 4)

Peak list (10 most intense, 5° ≤ 2θ ≤ 70°, sorted by position)
- d = 9.700 Å, I = 19
- d = 9.423 Å, I = 33
- d = 3.233 Å, I = 41
- d = 3.150 Å, I = 100
- d = 2.428 Å, I = 27
- d = 2.256 Å, I = 59
- d = 2.069 Å, I = 16
- d = 1.941 Å, I = 22
- d = 1.743 Å, I = 14
- d = 1.575 Å, I = 14

***

RbMoI2: calculated powder diffractogram (a wavelength of 1.5418 Å), based on a structure optimized by DFT (PBE).
No peak broadening, texture or thermal motion is included.

Atomic structure:
a b c (Å): 8.7401 8.7401 7.9577
angles (deg): 90.00 90.00 90.00
Space group I-42d (No. 122)
Symmetry-distinct sites (fractional):
1 Rb 0.0000 0.0000 0.0000 (multiplicity 4)
2 Mo 0.0000 0.0000 0.5000 (multiplicity 4)
3 I 0.1354 0.2500 0.6250 (multiplicity 8)

Peak list (10 most intense, 5° ≤ 2θ ≤ 70°, sorted by position)
- d = 5.884 Å, I = 47
- d = 3.508 Å, I = 68
- d = 3.345 Å, I = 100
- d = 3.090 Å, I = 28
- d = 2.764 Å, I = 23
- d = 2.319 Å, I = 29
- d = 2.270 Å, I = 34
- d = 2.195 Å, I = 21
- d = 1.954 Å, I = 26
- d = 1.811 Å, I = 26